Diffraction record for Pm2ScTl9. The XRD peak list is calculated, not measured: it uses a structure optimized by DFT (GGA-PBE) and copper Kα.
Peak positions follow from Bragg's law for the DFT cell and can differ from measured ones.

Structural model:
```
Pm2ScTl9
1.0
4.780 0.000 0.000
0.000 4.780 0.000
0.000 0.000 14.286
Pm Sc Tl
2 1 9
Cartesian
0.000 0.000 2.433
0.000 0.000 11.853
0.000 0.000 7.143
0.000 2.390 0.000
0.000 2.390 4.867
0.000 2.390 9.420
2.390 0.000 0.000
2.390 0.000 4.867
2.390 0.000 9.420
2.390 2.390 2.411
2.390 2.390 7.143
2.390 2.390 11.876
```

Top 10 peaks for 2θ = 10–90°, by angle:
2theta, d/Å, I (rel.)
32.5, 2.756, 100
37.6, 2.390, 34
37.8, 2.381, 16
54.3, 1.690, 12
54.4, 1.687, 23
64.7, 1.441, 28
64.9, 1.437, 13
68.0, 1.378, 12
89.4, 1.096, 6
89.5, 1.095, 12

---

Diffraction record for Tb2Mg2Cd15. The XRD peak list is calculated, not measured: it uses a structure optimized by DFT (GGA-PBE) and copper Kα.
Peak positions follow from Bragg's law for the DFT cell and can differ from measured ones.

Structural model:
```
Tb2Mg2Cd15
1.0
5.000 2.887 5.024
-5.000 2.887 5.024
0.000 -5.774 5.024
Tb Mg Cd
2 2 15
Cartesian
0.000 0.000 2.532
0.000 0.000 12.539
0.000 0.000 5.998
0.000 0.000 9.073
-2.500 -1.443 5.024
0.000 -3.003 4.682
-2.600 1.501 4.682
-1.487 -2.575 7.535
-2.973 0.000 7.535
-2.600 -1.501 10.389
-2.500 1.443 10.047
1.487 -2.575 7.535
0.000 2.887 5.024
-1.487 2.575 7.535
2.600 1.501 4.682
2.973 0.000 7.535
1.487 2.575 7.535
2.600 -1.501 10.389
0.000 3.003 10.389
```

Top 10 peaks for 2θ = 10–90°, by angle:
2theta, d/Å, I (rel.)
17.7, 5.000, 13
31.0, 2.887, 13
31.5, 2.842, 13
35.7, 2.512, 25
35.9, 2.502, 100
36.3, 2.474, 19
40.3, 2.238, 32
51.6, 1.771, 15
58.3, 1.582, 11
64.6, 1.443, 12